Structure and simulated PXRD pattern of Pr2PaTeO8 (a crystal structure in Alexandria, relaxed with PBE; Cu Ka).
Neutral-atom scattering factors, no anomalous dispersion.

Top 12 peaks for 2θ = 10–90°, low angle first:
| d [Å] | Position (°2θ) | I (rel.) |
| --- | --- | --- |
| 3.422 | 26.0 | 428 |
| 3.116 | 28.6 | 1000 |
| 2.768 | 32.3 | 152 |
| 2.753 | 32.5 | 301 |
| 2.023 | 44.8 | 280 |
| 2.011 | 45.1 | 128 |
| 1.888 | 48.2 | 323 |
| 1.736 | 52.7 | 121 |
| 1.658 | 55.4 | 106 |
| 1.653 | 55.6 | 105 |
| 1.648 | 55.8 | 106 |
| 1.614 | 57.1 | 95 |

Cell: 4.0429 7.5508 5.5649 Å, 90.00 95.76 90.00°
Element x y z (fractional)
1 Pr 0.0000 0.2442 0.0000
2 Pr 0.0000 0.7558 0.0000
3 Pa 0.5000 0.5000 0.5000
4 Te 0.5000 0.0000 0.5000
5 O 0.0473 0.5000 0.2680
6 O 0.0685 0.0000 0.2762
7 O 0.4526 0.2417 0.7269
8 O 0.4526 0.7583 0.7269
9 O 0.5474 0.2417 0.2731
10 O 0.5474 0.7583 0.2731
11 O 0.9315 0.0000 0.7238
12 O 0.9527 0.5000 0.7320

=====

Structure and simulated PXRD pattern of CeNd8Sm2 (a crystal structure in Alexandria, relaxed with PBE; Cu Ka).
Neutral-atom scattering factors, no anomalous dispersion.

Top 12 peaks for 2θ = 10–90°, low angle first:
| d [Å] | Position (°2θ) | I (rel.) |
| --- | --- | --- |
| 3.687 | 24.1 | 98 |
| 3.066 | 29.1 | 260 |
| 2.870 | 31.2 | 361 |
| 2.850 | 31.4 | 1000 |
| 2.812 | 31.8 | 180 |
| 2.724 | 32.9 | 107 |
| 2.689 | 33.3 | 122 |
| 1.962 | 46.3 | 98 |
| 1.770 | 51.6 | 91 |
| 1.653 | 55.6 | 198 |
| 1.506 | 61.6 | 107 |
| 1.481 | 62.7 | 113 |

Cell: 9.5119 9.5119 9.5119 Å, 144.88 128.33 64.01°
Element x y z (fractional)
1 Ce 0.0000 0.0000 0.0000
2 Nd 0.1566 0.8653 0.2913
3 Nd 0.1614 0.6614 0.5000
4 Nd 0.2882 0.5000 0.7882
5 Nd 0.4260 0.1347 0.2913
6 Nd 0.5740 0.8653 0.7087
7 Nd 0.7118 0.5000 0.2118
8 Nd 0.8386 0.3386 0.5000
9 Nd 0.8434 0.1347 0.7087
10 Sm 0.3002 0.3002 0.0000
11 Sm 0.6998 0.6998 0.0000

=====

Structure and simulated PXRD pattern of PmNdGa2Pd5 (a crystal structure in Alexandria, relaxed with PBE; Cu Ka).
Neutral-atom scattering factors, no anomalous dispersion.

Top 12 peaks for 2θ = 10–90°, low angle first:
| d [Å] | Position (°2θ) | I (rel.) |
| --- | --- | --- |
| 3.149 | 28.3 | 120 |
| 2.539 | 35.4 | 1000 |
| 2.508 | 35.8 | 86 |
| 2.318 | 38.8 | 115 |
| 2.165 | 41.7 | 182 |
| 2.145 | 42.1 | 471 |
| 2.040 | 44.4 | 88 |
| 1.575 | 58.6 | 137 |
| 1.517 | 61.1 | 154 |
| 1.377 | 68.1 | 121 |
| 1.302 | 72.6 | 239 |
| 1.269 | 74.8 | 66 |

Cell: 4.2910 4.2910 9.2731 Å, 90.00 90.00 90.00°
Element x y z (fractional)
1 Pm 0.0000 0.0000 0.0000
2 Nd 0.0000 0.0000 0.5000
3 Ga 0.5000 0.5000 0.1371
4 Ga 0.5000 0.5000 0.8629
5 Pd 0.0000 0.5000 0.2747
6 Pd 0.0000 0.5000 0.7253
7 Pd 0.5000 0.0000 0.2747
8 Pd 0.5000 0.0000 0.7253
9 Pd 0.5000 0.5000 0.5000

=====

Structure and simulated PXRD pattern of Ce6Ru2Pb (a crystal structure in Alexandria, relaxed with PBE; Cu Ka).
Neutral-atom scattering factors, no anomalous dispersion.

Top 12 peaks for 2θ = 10–90°, low angle first:
| d [Å] | Position (°2θ) | I (rel.) |
| --- | --- | --- |
| 7.482 | 11.8 | 173 |
| 3.253 | 27.4 | 211 |
| 2.923 | 30.6 | 448 |
| 2.872 | 31.1 | 497 |
| 2.841 | 31.5 | 267 |
| 2.712 | 33.0 | 286 |
| 2.598 | 34.5 | 1000 |
| 2.494 | 36.0 | 182 |
| 2.451 | 36.7 | 259 |
| 2.189 | 41.2 | 207 |
| 2.171 | 41.6 | 229 |
| 1.848 | 49.3 | 208 |

Cell: 8.8234 8.8234 7.6541 Å, 113.11 113.11 61.20°
Element x y z (fractional)
1 Ce 0.0348 0.7787 0.7771
2 Ce 0.0363 0.6148 0.3887
3 Ce 0.2213 0.9652 0.7229
4 Ce 0.3352 0.3632 0.9944
5 Ce 0.3632 0.3352 0.4944
6 Ce 0.3852 0.9637 0.1113
7 Ce 0.6148 0.0363 0.8887
8 Ce 0.6368 0.6648 0.5056
9 Ce 0.6648 0.6368 0.0056
10 Ce 0.7787 0.0348 0.2771
11 Ce 0.9637 0.3852 0.6113
12 Ce 0.9652 0.2213 0.2229
13 Ru 0.0835 0.3226 0.0405
14 Ru 0.3226 0.0835 0.5405
15 Ru 0.6774 0.9165 0.4595
16 Ru 0.9165 0.6774 0.9595
17 Pb 0.2156 0.7844 0.2500
18 Pb 0.7844 0.2156 0.7500

=====

Structure and simulated PXRD pattern of RbNaMg6O7 (a crystal structure in Alexandria, relaxed with PBE; Cu Ka).
Neutral-atom scattering factors, no anomalous dispersion.

Top 12 peaks for 2θ = 10–90°, low angle first:
| d [Å] | Position (°2θ) | I (rel.) |
| --- | --- | --- |
| 5.773 | 15.3 | 300 |
| 4.240 | 21.0 | 276 |
| 3.980 | 22.3 | 342 |
| 3.417 | 26.1 | 471 |
| 2.902 | 30.8 | 333 |
| 2.850 | 31.4 | 468 |
| 2.661 | 33.7 | 541 |
| 2.386 | 37.7 | 280 |
| 2.120 | 42.7 | 1000 |
| 1.701 | 53.9 | 190 |
| 1.499 | 61.9 | 289 |
| 1.425 | 65.5 | 239 |

Cell: 4.2397 4.2397 11.5455 Å, 90.00 90.00 90.00°
Element x y z (fractional)
1 Rb 0.0000 0.0000 0.0000
2 Na 0.0000 0.0000 0.4806
3 Mg 0.0000 0.5000 0.3006
4 Mg 0.0000 0.5000 0.6746
5 Mg 0.5000 0.0000 0.3006
6 Mg 0.5000 0.0000 0.6746
7 Mg 0.5000 0.5000 0.4706
8 Mg 0.5000 0.5000 0.8617
9 O 0.0000 0.0000 0.2676
10 O 0.0000 0.0000 0.6716
11 O 0.0000 0.5000 0.4894
12 O 0.0000 0.5000 0.8500
13 O 0.5000 0.0000 0.4894
14 O 0.5000 0.0000 0.8500
15 O 0.5000 0.5000 0.2944

=====

Structure and simulated PXRD pattern of Zn3Br (a crystal structure in Alexandria, relaxed with PBE; Cu Ka).
Neutral-atom scattering factors, no anomalous dispersion.

Top 12 peaks for 2θ = 10–90°, low angle first:
| d [Å] | Position (°2θ) | I (rel.) |
| --- | --- | --- |
| 3.073 | 29.1 | 465 |
| 2.486 | 36.1 | 1000 |
| 2.027 | 44.7 | 122 |
| 1.833 | 49.7 | 101 |
| 1.692 | 54.2 | 135 |
| 1.636 | 56.2 | 265 |
| 1.574 | 58.6 | 120 |
| 1.359 | 69.1 | 63 |
| 1.243 | 76.6 | 92 |
| 1.242 | 76.8 | 78 |
| 1.149 | 84.2 | 79 |
| 1.120 | 87.0 | 74 |

Cell: 5.4068 5.4068 5.4068 Å, 140.37 110.73 82.87°
Element x y z (fractional)
1 Zn 0.0000 0.0000 0.0000
2 Zn 0.2292 0.7292 0.5000
3 Zn 0.7708 0.2708 0.5000
4 Br 0.5000 0.5000 0.0000

=====

Structure and simulated PXRD pattern of TiCo3H (a crystal structure in Alexandria, relaxed with PBE; Cu Ka).
Neutral-atom scattering factors, no anomalous dispersion.

Top 12 peaks for 2θ = 10–90°, low angle first:
| d [Å] | Position (°2θ) | I (rel.) |
| --- | --- | --- |
| 2.254 | 40.0 | 199 |
| 2.212 | 40.8 | 545 |
| 2.087 | 43.4 | 809 |
| 1.997 | 45.4 | 583 |
| 1.969 | 46.1 | 512 |
| 1.961 | 46.3 | 905 |
| 1.948 | 46.6 | 1000 |
| 1.524 | 60.8 | 191 |
| 1.293 | 73.2 | 288 |
| 1.173 | 82.1 | 176 |
| 1.106 | 88.3 | 198 |
| 1.092 | 89.8 | 217 |

Cell: 5.1736 5.1736 4.1748 Å, 90.85 90.85 58.78°
Element x y z (fractional)
1 Ti 0.1776 0.1776 0.2345
2 Ti 0.8224 0.8224 0.7655
3 Co 0.1748 0.6650 0.2456
4 Co 0.3350 0.8252 0.7544
5 Co 0.3388 0.3388 0.7521
6 Co 0.6612 0.6612 0.2479
7 Co 0.6650 0.1748 0.2456
8 Co 0.8252 0.3350 0.7544
9 H 0.0000 0.0000 0.5000
10 H 0.5000 0.5000 0.5000

=====

Structure and simulated PXRD pattern of PmDy12Ho2 (a crystal structure in Alexandria, relaxed with PBE; Cu Ka).
Neutral-atom scattering factors, no anomalous dispersion.

Top 12 peaks for 2θ = 10–90°, low angle first:
| d [Å] | Position (°2θ) | I (rel.) |
| --- | --- | --- |
| 2.943 | 30.4 | 1000 |
| 2.861 | 31.3 | 457 |
| 2.784 | 32.1 | 686 |
| 2.766 | 32.4 | 381 |
| 2.749 | 32.6 | 689 |
| 2.662 | 33.7 | 348 |
| 2.477 | 36.3 | 134 |
| 1.962 | 46.3 | 284 |
| 1.776 | 51.5 | 184 |
| 1.636 | 56.2 | 182 |
| 1.601 | 57.6 | 143 |
| 1.497 | 62.0 | 210 |

Cell: 3.5521 5.5690 24.3113 Å, 90.00 94.07 90.00°
Element x y z (fractional)
1 Pm 0.0000 0.0000 0.0000
2 Dy 0.0673 0.0000 0.1384
3 Dy 0.0983 0.5000 0.2022
4 Dy 0.1648 0.5000 0.3301
5 Dy 0.2159 0.0000 0.4252
6 Dy 0.2752 0.5000 0.5553
7 Dy 0.4640 0.5000 0.9252
8 Dy 0.5360 0.5000 0.0748
9 Dy 0.7248 0.5000 0.4447
10 Dy 0.7841 0.0000 0.5748
11 Dy 0.8352 0.5000 0.6699
12 Dy 0.9017 0.5000 0.7978
13 Dy 0.9327 0.0000 0.8616
14 Ho 0.3658 0.0000 0.7279
15 Ho 0.6342 0.0000 0.2721

=====

Structure and simulated PXRD pattern of CePmTm3 (a crystal structure in Alexandria, relaxed with PBE; Cu Ka).
Neutral-atom scattering factors, no anomalous dispersion.

Top 12 peaks for 2θ = 10–90°, low angle first:
| d [Å] | Position (°2θ) | I (rel.) |
| --- | --- | --- |
| 2.886 | 31.0 | 1000 |
| 2.874 | 31.1 | 988 |
| 2.501 | 35.9 | 339 |
| 2.490 | 36.1 | 667 |
| 1.771 | 51.6 | 120 |
| 1.764 | 51.8 | 238 |
| 1.760 | 51.9 | 354 |
| 1.510 | 61.4 | 143 |
| 1.504 | 61.7 | 281 |
| 1.501 | 61.8 | 209 |
| 1.500 | 61.8 | 139 |
| 1.437 | 64.9 | 120 |

Cell: 6.1056 6.1205 9.3161 Å, 108.82 102.65 99.91°
Element x y z (fractional)
1 Ce 0.2408 0.1919 0.1446
2 Ce 0.7592 0.8081 0.8554
3 Pm 0.2471 0.7993 0.3472
4 Pm 0.7529 0.2007 0.6528
5 Tm 0.2516 0.5985 0.9492
6 Tm 0.2520 0.9957 0.7526
7 Tm 0.2532 0.4025 0.5497
8 Tm 0.7468 0.5975 0.4503
9 Tm 0.7480 0.0043 0.2474
10 Tm 0.7484 0.4015 0.0508